Entry 1:
YBr3O18: computed powder diffraction line list (a wavelength of 1.5418 Å), based on a DFT-relaxed cell (GGA-PBE, the Materials Project).
Lines closer than 0.1° are merged.

Structural model:
```
data_YBr3O18
_chemical_formula_sum 'Y2 Br6 O36'
_cell_length_a 12.5391
_cell_length_b 6.3505
_cell_length_c 12.7787
_cell_angle_alpha 90.00
_cell_angle_beta 114.18
_cell_angle_gamma 90.00
_symmetry_space_group_name_H-M 'P 1'
_symmetry_Int_Tables_number 1
_symmetry_space_group_name_Hall 'P 1'
loop_
_atom_site_label
_atom_site_fract_x
_atom_site_fract_y
_atom_site_fract_z
Y1 0.1468 0.0000 0.0529
Y2 0.8532 0.5000 0.9471
Br1 0.1563 0.1938 0.3425
Br2 0.1638 0.2503 0.7942
Br3 0.2941 0.8289 0.6430
Br4 0.7059 0.3289 0.3570
Br5 0.8362 0.7503 0.2058
Br6 0.8437 0.6938 0.6575
O1 0.0442 0.6818 0.0083
O2 0.0809 0.4141 0.3232
O3 0.0874 0.4636 0.7350
O4 0.1346 0.2169 0.9202
O5 0.1527 0.6184 0.0702
O6 0.1629 0.1519 0.2057
O7 0.1786 0.9909 0.5979
O8 0.2479 0.7885 0.9434
O9 0.2710 0.7317 0.3110
O10 0.2939 0.2436 0.4278
O11 0.3040 0.3079 0.8490
O12 0.3531 0.8373 0.0147
O13 0.3566 0.9593 0.1004
O14 0.3606 0.6246 0.3462
O15 0.3668 0.8580 0.5598
O16 0.3792 0.8717 0.7803
O17 0.4130 0.3775 0.6732
O18 0.4943 0.4495 0.6553
O19 0.5057 0.9495 0.3447
O20 0.5870 0.8775 0.3268
O21 0.6208 0.3717 0.2197
O22 0.6332 0.3580 0.4402
O23 0.6394 0.1246 0.6538
O24 0.6434 0.4593 0.8996
O25 0.6469 0.3373 0.9853
O26 0.6960 0.8079 0.1510
O27 0.7061 0.7436 0.5722
O28 0.7290 0.2317 0.6890
O29 0.7521 0.2885 0.0566
O30 0.8214 0.4909 0.4021
O31 0.8371 0.6519 0.7943
O32 0.8473 0.1184 0.9298
O33 0.8654 0.7169 0.0798
O34 0.9126 0.9636 0.2650
O35 0.9191 0.9141 0.6768
O36 0.9558 0.1818 0.9917
```

Most intense lines, 2θ = 10–80°, sorted by position:
- 12.87 deg, d = 6.877 Å, intensity 45.6
- 15.49 deg, d = 5.719 Å, intensity 70.5
- 15.96 deg, d = 5.553 Å, intensity 74.9
- 20.68 deg, d = 4.294 Å, intensity 79.7
- 20.90 deg, d = 4.250 Å, intensity 98.6
- 21.81 deg, d = 4.075 Å, intensity 100.0
- 22.89 deg, d = 3.886 Å, intensity 33.7
- 24.24 deg, d = 3.672 Å, intensity 37.6
- 28.10 deg, d = 3.176 Å, intensity 35.7
- 31.50 deg, d = 2.840 Å, intensity 35.9


Entry 2:
Pr3Ge13Ru4: computed powder diffraction line list (a wavelength of 1.5418 Å), based on a DFT-relaxed cell (GGA-PBE, the Materials Project).
Lines closer than 0.1° are merged.

Structural model:
```
data_Pr3Ge13Ru4
_chemical_formula_sum 'Pr6 Ge26 Ru8'
_cell_length_a 9.1624
_cell_length_b 9.1624
_cell_length_c 9.1624
_cell_angle_alpha 90.00
_cell_angle_beta 90.00
_cell_angle_gamma 90.00
_symmetry_space_group_name_H-M 'P 1'
_symmetry_Int_Tables_number 1
_symmetry_space_group_name_Hall 'P 1'
loop_
_atom_site_label
_atom_site_fract_x
_atom_site_fract_y
_atom_site_fract_z
Pr1 0.0000 0.2500 0.5000
Pr2 0.0000 0.7500 0.5000
Pr3 0.2500 0.5000 0.0000
Pr4 0.5000 0.0000 0.2500
Pr5 0.5000 0.0000 0.7500
Pr6 0.7500 0.5000 0.0000
Ge1 0.0000 0.0000 0.0000
Ge2 0.0000 0.2961 0.1465
Ge3 0.0000 0.2961 0.8535
Ge4 0.0000 0.7039 0.1465
Ge5 0.0000 0.7039 0.8535
Ge6 0.1465 0.0000 0.2961
Ge7 0.1465 0.0000 0.7039
Ge8 0.2039 0.5000 0.3535
Ge9 0.2039 0.5000 0.6465
Ge10 0.2961 0.1465 0.0000
Ge11 0.2961 0.8535 0.0000
Ge12 0.3535 0.2039 0.5000
Ge13 0.3535 0.7961 0.5000
Ge14 0.5000 0.3535 0.2039
Ge15 0.5000 0.3535 0.7961
Ge16 0.5000 0.5000 0.5000
Ge17 0.5000 0.6465 0.2039
Ge18 0.5000 0.6465 0.7961
Ge19 0.6465 0.2039 0.5000
Ge20 0.6465 0.7961 0.5000
Ge21 0.7039 0.1465 0.0000
Ge22 0.7039 0.8535 0.0000
Ge23 0.7961 0.5000 0.3535
Ge24 0.7961 0.5000 0.6465
Ge25 0.8535 0.0000 0.2961
Ge26 0.8535 0.0000 0.7039
Ru1 0.2500 0.2500 0.2500
Ru2 0.2500 0.2500 0.7500
Ru3 0.2500 0.7500 0.2500
Ru4 0.2500 0.7500 0.7500
Ru5 0.7500 0.2500 0.2500
Ru6 0.7500 0.2500 0.7500
Ru7 0.7500 0.7500 0.2500
Ru8 0.7500 0.7500 0.7500
```

Most intense lines, 2θ = 10–80°, sorted by position:
- 21.69 deg, d = 4.098 Å, intensity 12.5
- 33.89 deg, d = 2.645 Å, intensity 19.6
- 35.32 deg, d = 2.541 Å, intensity 100.0
- 36.70 deg, d = 2.449 Å, intensity 36.6
- 39.33 deg, d = 2.291 Å, intensity 36.0
- 40.60 deg, d = 2.222 Å, intensity 12.0
- 48.69 deg, d = 1.870 Å, intensity 23.7
- 58.76 deg, d = 1.571 Å, intensity 13.8
- 62.49 deg, d = 1.486 Å, intensity 15.2
- 67.85 deg, d = 1.381 Å, intensity 19.3


Entry 3:
Mg3Os: computed powder diffraction line list (a wavelength of 1.5418 Å), based on a DFT-relaxed cell (GGA-PBE, the Materials Project).
Lines closer than 0.1° are merged.

Structural model:
```
data_Mg3Os
_chemical_formula_sum 'Mg3 Os1'
_cell_length_a 4.8818
_cell_length_b 4.8818
_cell_length_c 4.8818
_cell_angle_alpha 128.59
_cell_angle_beta 128.59
_cell_angle_gamma 75.68
_symmetry_space_group_name_H-M 'P 1'
_symmetry_Int_Tables_number 1
_symmetry_space_group_name_Hall 'P 1'
loop_
_atom_site_label
_atom_site_fract_x
_atom_site_fract_y
_atom_site_fract_z
Mg1 0.0000 0.0000 0.0000
Mg2 0.2500 0.7500 0.5000
Mg3 0.7500 0.2500 0.5000
Os1 0.5000 0.5000 0.0000
```

Most intense lines, 2θ = 10–80°, sorted by position:
- 23.07 deg, d = 3.855 Å, intensity 27.4
- 23.97 deg, d = 3.712 Å, intensity 100.0
- 29.83 deg, d = 2.995 Å, intensity 29.1
- 38.05 deg, d = 2.365 Å, intensity 82.9
- 41.08 deg, d = 2.197 Å, intensity 25.0
- 42.70 deg, d = 2.118 Å, intensity 30.0
- 49.56 deg, d = 1.839 Å, intensity 29.5
- 60.74 deg, d = 1.525 Å, intensity 16.2
- 65.48 deg, d = 1.425 Å, intensity 16.7
- 75.09 deg, d = 1.265 Å, intensity 22.4